(1)
# Eu3BeO5
Theoretical X-ray diffraction stick pattern, copper Kα. Input: a PBE-relaxed structure.
Kinematic intensities with the Lorentz-polarization factor, no thermal factor.

Most intense lines, 5° ≤ 2θ ≤ 70°, by angle:
2θ/deg	I (rel.)
28.72	37
29.80	66
31.14	49
31.30	100
38.25	41
40.28	31
52.51	22
60.80	19

Atomic structure:
a = 9.524 Å, b = 7.202 Å, c = 6.576 Å
α = 90.00°, β = 90.00°, γ = 90.00°
Fractional positions:
Eu (0.022, 0.250, 0.089)
Eu (0.174, 0.020, 0.582)
Eu (0.174, 0.480, 0.582)
Eu (0.326, 0.520, 0.082)
Eu (0.326, 0.980, 0.082)
Eu (0.478, 0.750, 0.589)
Eu (0.522, 0.250, 0.411)
Eu (0.674, 0.020, 0.918)
Eu (0.674, 0.480, 0.918)
Eu (0.826, 0.520, 0.418)
Eu (0.826, 0.980, 0.418)
Eu (0.978, 0.750, 0.911)
Be (0.102, 0.750, 0.307)
Be (0.398, 0.250, 0.807)
Be (0.602, 0.750, 0.193)
Be (0.898, 0.250, 0.693)
O (0.010, 0.750, 0.518)
O (0.071, 0.557, 0.192)
O (0.071, 0.943, 0.192)
O (0.222, 0.750, 0.837)
O (0.225, 0.250, 0.864)
O (0.275, 0.750, 0.364)
O (0.278, 0.250, 0.337)
O (0.429, 0.057, 0.692)
O (0.429, 0.443, 0.692)
O (0.490, 0.250, 0.018)
O (0.510, 0.750, 0.982)
O (0.571, 0.557, 0.308)
O (0.571, 0.943, 0.308)
O (0.722, 0.750, 0.663)
O (0.725, 0.250, 0.636)
O (0.775, 0.750, 0.136)
O (0.778, 0.250, 0.163)
O (0.929, 0.057, 0.808)
O (0.929, 0.443, 0.808)
O (0.990, 0.250, 0.482)

---

(2)
# Pr2Si2PbSe8
Theoretical X-ray diffraction stick pattern, copper Kα. Input: a PBE-relaxed structure.
Kinematic intensities with the Lorentz-polarization factor, no thermal factor.

Most intense lines, 5° ≤ 2θ ≤ 70°, by angle:
2θ/deg	I (rel.)
20.82	64
20.95	63
21.28	59
32.73	100
32.94	60
33.86	78
34.23	74
34.73	71

Atomic structure:
a = 9.445 Å, b = 9.445 Å, c = 10.739 Å
α = 114.51°, β = 114.51°, γ = 60.35°
Fractional positions:
Pr (0.056, 0.944, 0.500)
Pr (0.561, 0.755, 0.008)
Pr (0.755, 0.561, 0.508)
Pr (0.944, 0.056, 0.000)
Si (0.152, 0.672, 0.734)
Si (0.349, 0.833, 0.277)
Si (0.672, 0.152, 0.234)
Si (0.833, 0.349, 0.777)
Pb (0.251, 0.427, 0.005)
Pb (0.427, 0.251, 0.505)
Se (0.042, 0.292, 0.686)
Se (0.069, 0.596, 0.491)
Se (0.109, 0.780, 0.187)
Se (0.212, 0.909, 0.812)
Se (0.292, 0.042, 0.186)
Se (0.393, 0.473, 0.832)
Se (0.416, 0.904, 0.520)
Se (0.473, 0.393, 0.332)
Se (0.577, 0.603, 0.209)
Se (0.596, 0.069, 0.991)
Se (0.603, 0.577, 0.709)
Se (0.728, 0.930, 0.307)
Se (0.780, 0.109, 0.687)
Se (0.904, 0.416, 0.020)
Se (0.909, 0.212, 0.312)
Se (0.930, 0.728, 0.807)

---

(3)
# CeIn2Rh
Theoretical X-ray diffraction stick pattern, copper Kα. Input: a PBE-relaxed structure.
Kinematic intensities with the Lorentz-polarization factor, no thermal factor.

Most intense lines, 5° ≤ 2θ ≤ 70°, by angle:
2θ/deg	I (rel.)
31.02	100
33.54	20
35.32	59
37.39	51
39.75	27
40.26	25
40.81	37
56.54	31

Atomic structure:
a = 5.495 Å, b = 5.495 Å, c = 8.213 Å
α = 90.00°, β = 90.00°, γ = 132.55°
Fractional positions:
Ce (0.066, 0.934, 0.750)
Ce (0.934, 0.066, 0.250)
In (0.357, 0.643, 0.550)
In (0.357, 0.643, 0.950)
In (0.643, 0.357, 0.050)
In (0.643, 0.357, 0.450)
Rh (0.214, 0.786, 0.250)
Rh (0.786, 0.214, 0.750)